[1]
Starting from a PBE-relaxed structure, the X-ray diffraction stick pattern of NiMoI was calculated for Cu Kα.
Intensities are scaled so that the largest is 100.

Structure:
```
NiMoI
1.0
3.3125 -1.9130 0.0000
3.3125 1.9130 0.0000
-2.1947 0.0000 10.7000
Ni Mo I
2 2 2
Cartesian
1.1030 0.0000 1.9591
3.3273 0.0000 8.7408
-1.0912 0.0000 9.9985
5.5215 0.0000 0.7014
1.1182 0.0000 7.3714
3.3121 0.0000 3.3286
```

Main lines, in order of rising 2θ (2θ = 15–90°):
two_theta, intensity
29.16, 91
30.36, 97
35.13, 58
41.23, 94
45.83, 58
47.54, 100



[2]
Starting from a PBE-relaxed structure, the X-ray diffraction stick pattern of Pu3As2Rh7 was calculated for Cu Kα.
Intensities are scaled so that the largest is 100.

Structure:
```
Pu3As2Rh7
1.0
-1.9973 1.9973 13.4506
1.9973 -1.9973 13.4506
1.9973 1.9973 -13.4506
Pu As Rh
3 2 7
Cartesian
0.0000 0.0000 0.0000
0.0000 0.0000 4.7615
0.0000 0.0000 22.1397
0.0000 0.0000 9.9223
0.0000 0.0000 16.9789
1.9973 0.0000 2.0918
0.0000 0.0000 7.4534
1.9973 0.0000 11.3588
0.0000 0.0000 13.4506
0.0000 1.9973 2.0918
0.0000 0.0000 19.4478
0.0000 1.9973 11.3588
```

Main lines, in order of rising 2θ (2θ = 15–90°):
two_theta, intensity
27.82, 23
31.68, 29
37.63, 100
43.38, 37
45.41, 49
64.61, 23



[3]
Starting from a PBE-relaxed structure, the X-ray diffraction stick pattern of Sr3Cd was calculated for Cu Kα.
Intensities are scaled so that the largest is 100.

Structure:
```
Sr3Cd
1.0
2.1436 1.2376 11.8824
-2.1436 1.2376 11.8824
0.0000 -2.4753 11.8824
Sr Cd
3 1
Cartesian
0.0000 0.0000 0.0000
0.0000 0.0000 8.3122
0.0000 0.0000 27.3351
0.0000 0.0000 17.8236
```

Main lines, in order of rising 2θ (2θ = 15–90°):
two_theta, intensity
26.00, 100
31.36, 48
42.16, 29
50.20, 16
52.65, 14
67.58, 13